Record 1
Structure and theoretical powder diffractogram of CsMgPb3 (the GGA-PBE geometry in Alexandria; copper Kα).
Lines closer than 0.1° are merged.

Principal peaks in the range 10 to 80 degrees two-theta, by intensity:
27.38 deg, d = 3.258 Å, rel. 100, hkl 1 1 1
33.37 deg, d = 2.685 Å, rel. 49, hkl 0 2 0
36.95 deg, d = 2.433 Å, rel. 32, hkl 3 1 1
56.06 deg, d = 1.640 Å, rel. 28, hkl 1 1 -3
13.98 deg, d = 6.337 Å, rel. 27, hkl 2 0 0
26.85 deg, d = 3.320 Å, rel. 26, hkl 4 0 -1
47.91 deg, d = 1.899 Å, rel. 18, hkl 2 2 -2
62.00 deg, d = 1.497 Å, rel. 15, hkl 7 1 -3
43.33 deg, d = 2.088 Å, rel. 15, hkl 4 2 -1
39.30 deg, d = 2.292 Å, rel. 12, hkl 5 1 0

Structure:
Cell: 13.762 5.374 5.367 Å, 90.00 112.93 90.00°
Space group Cm (No. 8)
Inequivalent atoms, fractional coordinates:
Cs 0.000 0.000 0.000
Mg 0.131 0.500 0.630
Pb 0.248 0.000 0.748
Pb 0.248 0.500 0.247
Pb 0.388 0.000 0.389

=====

Record 2
Structure and theoretical powder diffractogram of La6GaHg2 (the GGA-PBE geometry in Alexandria; copper Kα).
Lines closer than 0.1° are merged.

Principal peaks in the range 10 to 80 degrees two-theta, by intensity:
29.86 deg, d = 2.992 Å, rel. 100, hkl 1 1 1
32.01 deg, d = 2.796 Å, rel. 65, hkl 2 0 1
34.28 deg, d = 2.616 Å, rel. 62, hkl 3 0 0
30.13 deg, d = 2.966 Å, rel. 50, hkl 2 1 0
56.06 deg, d = 1.641 Å, rel. 35, hkl 3 2 1
37.81 deg, d = 2.379 Å, rel. 31, hkl 2 1 1
58.21 deg, d = 1.585 Å, rel. 27, hkl 3 0 2
45.53 deg, d = 1.992 Å, rel. 18, hkl 0 0 2
55.57 deg, d = 1.654 Å, rel. 18, hkl 2 1 2
58.68 deg, d = 1.573 Å, rel. 15, hkl 4 1 1

Structure:
Cell: 9.0612 9.0612 3.9848 Å, 90.00 90.00 120.00°
Space group P-62m (No. 189)
Inequivalent atoms, fractional coordinates:
La 0.0000 0.3948 0.0000
La 0.0000 0.7369 0.5000
Ga 0.0000 0.0000 0.0000
Hg 0.3333 0.6667 0.5000

=====

Record 3
Structure and theoretical powder diffractogram of Sm2Dy2ErSc (the GGA-PBE geometry in Alexandria; copper Kα).
Lines closer than 0.1° are merged.

Principal peaks in the range 10 to 80 degrees two-theta, by intensity:
32.09 deg, d = 2.789 Å, rel. 100, hkl 0 2 0
32.18 deg, d = 2.782 Å, rel. 58, hkl 0 1 3
57.30 deg, d = 1.608 Å, rel. 37, hkl 0 3 3
46.06 deg, d = 1.971 Å, rel. 25, hkl 2 2 2
63.83 deg, d = 1.458 Å, rel. 25, hkl 4 2 0
41.83 deg, d = 2.160 Å, rel. 24, hkl 2 2 0
26.02 deg, d = 3.424 Å, rel. 15, hkl 2 0 0
67.30 deg, d = 1.391 Å, rel. 10, hkl 0 4 0
76.48 deg, d = 1.246 Å, rel. 7, hkl 2 4 2
18.41 deg, d = 4.819 Å, rel. 7, hkl 0 0 2

Structure:
Cell: 6.849 5.569 9.632 Å, 90.00 90.00 90.00°
Space group Pmma (No. 51)
Inequivalent atoms, fractional coordinates:
Sm 0.000 0.000 0.000
Sm 0.250 0.500 0.186
Dy 0.250 0.000 0.331
Dy 0.250 0.500 0.837
Er 0.250 0.000 0.653
Sc 0.000 0.500 0.500

=====

Record 4
Structure and theoretical powder diffractogram of Ce3H2Rh9 (the GGA-PBE geometry in Alexandria; copper Kα).
Lines closer than 0.1° are merged.

Principal peaks in the range 10 to 80 degrees two-theta, by intensity:
38.08 deg, d = 2.363 Å, rel. 100, hkl 2 0 1
44.28 deg, d = 2.045 Å, rel. 65, hkl 0 2 2
77.33 deg, d = 1.234 Å, rel. 37, hkl 2 2 3
38.18 deg, d = 2.357 Å, rel. 33, hkl 0 0 3
64.35 deg, d = 1.448 Å, rel. 21, hkl 2 2 0
64.49 deg, d = 1.445 Å, rel. 21, hkl 2 0 4
77.48 deg, d = 1.232 Å, rel. 12, hkl 0 2 5
30.91 deg, d = 2.893 Å, rel. 2, hkl 1 1 0
21.72 deg, d = 4.091 Å, rel. 2, hkl 0 1 1
49.84 deg, d = 1.830 Å, rel. 1, hkl 1 2 1

Structure:
Cell: 5.7911 5.7911 7.0715 Å, 90.00 90.00 120.00°
Space group P-3m1 (No. 164)
Inequivalent atoms, fractional coordinates:
Ce 0.0000 0.0000 0.0000
Ce 0.3333 0.6667 0.3355
H 0.3333 0.6667 0.8191
Rh 0.0000 0.5000 0.0000
Rh 0.1652 0.3304 0.6663

=====

Record 5
Structure and theoretical powder diffractogram of Sr2CuSe3O9 (the GGA-PBE geometry in Alexandria; copper Kα).
Lines closer than 0.1° are merged.

Principal peaks in the range 10 to 80 degrees two-theta, by intensity:
26.16 deg, d = 3.406 Å, rel. 100, hkl -1 1 2
27.77 deg, d = 3.212 Å, rel. 87, hkl -1 2 1
28.81 deg, d = 3.099 Å, rel. 80, hkl 1 2 0
30.41 deg, d = 2.939 Å, rel. 78, hkl 2 1 -2
30.20 deg, d = 2.960 Å, rel. 74, hkl 2 -1 1
31.44 deg, d = 2.845 Å, rel. 57, hkl 1 1 -3
31.93 deg, d = 2.803 Å, rel. 51, hkl 0 1 -3
28.26 deg, d = 3.158 Å, rel. 47, hkl 2 1 -1
33.77 deg, d = 2.654 Å, rel. 37, hkl 1 1 2
26.04 deg, d = 3.422 Å, rel. 34, hkl 1 -2 1

Structure:
Cell: 7.323 7.898 8.772 Å, 102.20 105.32 96.71°
Space group P-1 (No. 2)
Inequivalent atoms, fractional coordinates:
Sr 0.124 0.484 0.307
Sr 0.259 0.910 0.109
Cu 0.415 0.660 0.753
Se 0.135 0.918 0.705
Se 0.273 0.369 0.913
Se 0.400 0.202 0.530
O 0.016 0.129 0.182
O 0.029 0.299 0.851
O 0.162 0.702 0.620
O 0.277 0.593 0.910
O 0.315 0.397 0.557
O 0.329 0.377 0.121
O 0.347 0.999 0.858
O 0.375 0.752 0.333
O 0.443 0.181 0.341

=====

Record 6
Structure and theoretical powder diffractogram of Ac3NdAs4 (the GGA-PBE geometry in Alexandria; copper Kα).
Lines closer than 0.1° are merged.

Principal peaks in the range 10 to 80 degrees two-theta, by intensity:
28.11 deg, d = 3.174 Å, rel. 100, hkl 2 0 0
40.18 deg, d = 2.245 Å, rel. 78, hkl 2 2 0
24.28 deg, d = 3.665 Å, rel. 37, hkl 1 1 1
65.79 deg, d = 1.420 Å, rel. 37, hkl 4 2 0
49.75 deg, d = 1.833 Å, rel. 28, hkl 2 2 2
73.01 deg, d = 1.296 Å, rel. 27, hkl 4 2 2
47.50 deg, d = 1.914 Å, rel. 20, hkl 3 1 1
58.12 deg, d = 1.587 Å, rel. 13, hkl 4 0 0
63.92 deg, d = 1.456 Å, rel. 8, hkl 3 3 1
78.25 deg, d = 1.222 Å, rel. 6, hkl 5 1 1

Structure:
Cell: 6.349 6.349 6.349 Å, 90.00 90.00 90.00°
Space group Pm-3m (No. 221)
Inequivalent atoms, fractional coordinates:
Ac 0.000 0.000 0.500
Nd 0.500 0.500 0.500
As 0.000 0.000 0.000
As 0.000 0.500 0.500

=====

Record 7
Structure and theoretical powder diffractogram of PrHfIrO6 (the GGA-PBE geometry in Alexandria; copper Kα).
Lines closer than 0.1° are merged.

Principal peaks in the range 10 to 80 degrees two-theta, by intensity:
25.82 deg, d = 3.451 Å, rel. 100, hkl 1 0 2
33.56 deg, d = 2.671 Å, rel. 50, hkl 1 1 0
48.98 deg, d = 1.860 Å, rel. 50, hkl 1 1 4
42.82 deg, d = 2.112 Å, rel. 25, hkl 2 0 2
17.11 deg, d = 5.182 Å, rel. 25, hkl 0 0 2
55.47 deg, d = 1.657 Å, rel. 24, hkl 2 1 2
37.90 deg, d = 2.374 Å, rel. 18, hkl 1 1 2
60.00 deg, d = 1.542 Å, rel. 15, hkl 3 0 0
34.62 deg, d = 2.591 Å, rel. 13, hkl 0 0 4
71.16 deg, d = 1.325 Å, rel. 11, hkl 3 0 4

Structure:
Cell: 5.3412 5.3412 10.3633 Å, 90.00 90.00 120.00°
Space group P-31c (No. 163)
Inequivalent atoms, fractional coordinates:
Pr 0.0000 0.0000 0.0000
Hf 0.3333 0.6667 0.2500
Ir 0.3333 0.6667 0.7500
O 0.0135 0.3668 0.6426

=====

Record 8
Structure and theoretical powder diffractogram of La3Pm4Co4 (the GGA-PBE geometry in Alexandria; copper Kα).
Lines closer than 0.1° are merged.

Principal peaks in the range 10 to 80 degrees two-theta, by intensity:
30.68 deg, d = 2.914 Å, rel. 100, hkl 1 2 1
35.15 deg, d = 2.553 Å, rel. 64, hkl 1 2 3
32.48 deg, d = 2.756 Å, rel. 49, hkl 1 1 4
37.43 deg, d = 2.403 Å, rel. 47, hkl 2 0 0
32.04 deg, d = 2.793 Å, rel. 25, hkl 0 1 5
25.69 deg, d = 3.468 Å, rel. 25, hkl 1 0 3
58.54 deg, d = 1.577 Å, rel. 24, hkl 1 0 9
26.40 deg, d = 3.376 Å, rel. 20, hkl 0 2 2
35.84 deg, d = 2.505 Å, rel. 17, hkl 0 0 6
40.06 deg, d = 2.251 Å, rel. 16, hkl 0 3 3

Structure:
Cell: 4.805 7.557 15.032 Å, 90.00 90.00 90.00°
Space group Immm (No. 71)
Inequivalent atoms, fractional coordinates:
La 0.000 0.000 0.000
La 0.000 0.500 0.104
Pm 0.000 0.279 0.331
Co 0.000 0.000 0.198
Co 0.000 0.148 0.500

=====

Record 9
Structure and theoretical powder diffractogram of Er8Tm5Sc (the GGA-PBE geometry in Alexandria; copper Kα).
Lines closer than 0.1° are merged.

Principal peaks in the range 10 to 80 degrees two-theta, by intensity:
34.61 deg, d = 2.592 Å, rel. 100, hkl 2 1 3
30.07 deg, d = 2.972 Å, rel. 72, hkl 1 3 0
29.92 deg, d = 2.986 Å, rel. 55, hkl 3 0 1
28.73 deg, d = 3.107 Å, rel. 44, hkl 1 0 3
35.62 deg, d = 2.520 Å, rel. 42, hkl 2 3 1
35.25 deg, d = 2.546 Å, rel. 35, hkl 1 3 2
56.37 deg, d = 1.632 Å, rel. 23, hkl 5 0 3
32.48 deg, d = 2.757 Å, rel. 22, hkl 2 2 2
64.74 deg, d = 1.440 Å, rel. 19, hkl 1 3 6
49.38 deg, d = 1.846 Å, rel. 15, hkl 5 1 0

Structure:
Cell: 9.398 9.398 9.876 Å, 90.00 90.00 90.00°
Space group I-4 (No. 82)
Inequivalent atoms, fractional coordinates:
Er 0.069 0.175 0.159
Er 0.089 0.321 0.497
Tm 0.000 0.500 0.250
Tm 0.108 0.291 0.827
Sc 0.000 0.000 0.500

=====

Record 10
Structure and theoretical powder diffractogram of SrTmGa3 (the GGA-PBE geometry in Alexandria; copper Kα).
Lines closer than 0.1° are merged.

Principal peaks in the range 10 to 80 degrees two-theta, by intensity:
30.86 deg, d = 2.898 Å, rel. 100, hkl 1 3 1
31.27 deg, d = 2.861 Å, rel. 50, hkl 1 7 0
40.73 deg, d = 2.215 Å, rel. 31, hkl 0 10 1
40.24 deg, d = 2.241 Å, rel. 30, hkl 2 0 0
42.81 deg, d = 2.112 Å, rel. 25, hkl 0 0 2
42.95 deg, d = 2.106 Å, rel. 25, hkl 1 9 1
53.95 deg, d = 1.699 Å, rel. 24, hkl 1 7 2
58.60 deg, d = 1.575 Å, rel. 21, hkl 2 10 1
29.25 deg, d = 3.053 Å, rel. 19, hkl 1 1 1
60.20 deg, d = 1.537 Å, rel. 18, hkl 2 0 2

Structure:
Cell: 4.482 26.013 4.225 Å, 90.00 90.00 90.00°
Space group Cmcm (No. 63)
Inequivalent atoms, fractional coordinates:
Sr 0.000 0.076 0.250
Tm 0.000 0.205 0.750
Ga 0.000 0.319 0.750
Ga 0.000 0.376 0.250
Ga 0.000 0.474 0.250

=====

Record 11
Structure and theoretical powder diffractogram of PuCoIr (the GGA-PBE geometry in Alexandria; copper Kα).
Lines closer than 0.1° are merged.

Principal peaks in the range 10 to 80 degrees two-theta, by intensity:
39.88 deg, d = 2.261 Å, rel. 100, hkl 1 2 1
34.59 deg, d = 2.593 Å, rel. 64, hkl 1 1 2
41.19 deg, d = 2.192 Å, rel. 45, hkl 1 0 3
41.31 deg, d = 2.185 Å, rel. 37, hkl 2 1 1
35.47 deg, d = 2.531 Å, rel. 35, hkl 2 0 0
66.68 deg, d = 1.403 Å, rel. 34, hkl 1 0 5
72.96 deg, d = 1.297 Å, rel. 32, hkl 2 2 4
41.69 deg, d = 2.167 Å, rel. 21, hkl 0 2 2
20.50 deg, d = 4.333 Å, rel. 21, hkl 0 1 1
43.53 deg, d = 2.079 Å, rel. 20, hkl 2 0 2

Structure:
Cell: 5.062 5.387 7.294 Å, 90.00 90.00 90.00°
Space group Imma (No. 74)
Inequivalent atoms, fractional coordinates:
Pu 0.000 0.250 0.124
Co 0.250 0.250 0.750
Ir 0.000 0.000 0.500

=====

Record 12
Structure and theoretical powder diffractogram of Rb4Ce6I19 (the GGA-PBE geometry in Alexandria; copper Kα).
Lines closer than 0.1° are merged.

Principal peaks in the range 10 to 80 degrees two-theta, by intensity:
26.82 deg, d = 3.324 Å, rel. 100, hkl 3 3 0
32.37 deg, d = 2.766 Å, rel. 44, hkl 4 1 3
23.61 deg, d = 3.769 Å, rel. 38, hkl 3 2 1
38.29 deg, d = 2.350 Å, rel. 34, hkl 6 0 0
19.91 deg, d = 4.460 Å, rel. 32, hkl 3 0 1
47.37 deg, d = 1.919 Å, rel. 22, hkl 6 3 3
31.07 deg, d = 2.879 Å, rel. 22, hkl 4 2 2
40.45 deg, d = 2.230 Å, rel. 20, hkl 6 0 2
50.99 deg, d = 1.791 Å, rel. 17, hkl 7 3 2
37.18 deg, d = 2.419 Å, rel. 16, hkl 5 0 3

Structure:
Cell: 14.102 14.102 14.102 Å, 90.00 90.00 90.00°
Space group I23 (No. 197)
Inequivalent atoms, fractional coordinates:
Rb 0.152 0.152 0.848
Ce 0.000 0.344 0.500
I 0.000 0.000 0.000
I 0.000 0.000 0.338
I 0.056 0.314 0.281